Entry 1:
The following is a simulated powder XRD pattern of PuUSi4. It was derived from DFT lattice parameters and positions (GGA-PBE), using Cu Kα (weighted mean of Kα1 and Kα2).

Main lines, in order of rising 2θ (2θ = 10–90°):
d = 3.806 Å, 23.4°, intensity 62, (1 0 1); d = 3.523 Å, 25.3°, intensity 33, (0 0 4); d = 3.024 Å, 29.5°, intensity 58, (1 0 3); d = 2.598 Å, 34.5°, intensity 100, (1 1 2); d = 2.295 Å, 39.3°, intensity 41, (1 0 5); d = 1.976 Å, 45.9°, intensity 28, (2 0 0); d = 1.794 Å, 50.9°, intensity 20, (1 0 7); d = 1.654 Å, 55.5°, intensity 21, (2 1 3); d = 1.498 Å, 62.0°, intensity 22, (2 1 5); d = 1.231 Å, 77.6°, intensity 21, (3 1 2)

Atomic structure:
```
data_PuUSi4
_chemical_formula_sum 'Pu2 U2 Si8'
_cell_length_a 3.9527
_cell_length_b 3.9527
_cell_length_c 14.0922
_cell_angle_alpha 90.00
_cell_angle_beta 90.00
_cell_angle_gamma 90.00
_symmetry_space_group_name_H-M 'I -4 m 2'
_symmetry_Int_Tables_number 119
_symmetry_space_group_name_Hall 'I -4 -2'
loop_
_atom_site_label
_atom_site_type_symbol
_atom_site_fract_x
_atom_site_fract_y
_atom_site_fract_z
_atom_site_occupancy
Pu1 Pu 0.0000 0.0000 0.0000 1
U1 U 0.0000 0.5000 0.2500 1
Si1 Si 0.0000 0.0000 0.4168 1
Si2 Si 0.0000 0.5000 0.6681 1
```

***

Entry 2:
The following is a simulated powder XRD pattern of PuU4Si. It was derived from DFT lattice parameters and positions (GGA-PBE), using Cu Kα (weighted mean of Kα1 and Kα2).

Main lines, in order of rising 2θ (2θ = 10–90°):
d = 6.447 Å, 13.7°, intensity 31, (2 0 0); d = 4.254 Å, 20.9°, intensity 66, (1 1 -1); d = 3.375 Å, 26.4°, intensity 47, (3 1 0); d = 2.780 Å, 32.2°, intensity 32, (4 0 -2); d = 2.616 Å, 34.3°, intensity 67, (1 1 2); d = 2.448 Å, 36.7°, intensity 100, (2 2 -1); d = 2.423 Å, 37.1°, intensity 54, (5 1 -1); d = 2.331 Å, 38.6°, intensity 28, (5 1 0); d = 2.112 Å, 42.8°, intensity 60, (1 1 -3); d = 2.014 Å, 45.0°, intensity 32, (4 0 2)

Atomic structure:
```
data_PuU4Si
_chemical_formula_sum 'Pu4 U16 Si4'
_cell_length_a 13.5699
_cell_length_b 5.4520
_cell_length_c 6.9489
_cell_angle_alpha 90.00
_cell_angle_beta 108.17
_cell_angle_gamma 90.00
_symmetry_space_group_name_H-M 'C 1 2/c 1'
_symmetry_Int_Tables_number 15
_symmetry_space_group_name_Hall '-C 2yc'
loop_
_atom_site_label
_atom_site_type_symbol
_atom_site_fract_x
_atom_site_fract_y
_atom_site_fract_z
_atom_site_occupancy
Pu1 Pu 0.2500 0.2500 0.0000 1
U1 U 0.0665 0.1157 0.9313 1
U2 U 0.1879 0.3891 0.6470 1
Si1 Si 0.0000 0.3795 0.2500 1
```

***

> Number 1 is which compound?

PuUSi4